(1)
# Te4Pt3
Simulated XRD peak list, CuKα. Input: the PBE geometry in the Materials Project.

Structure:
```
Te4Pt3
1.0
12.8820 0.0000 0.0000
0.0000 5.3661 0.0000
-1.2981 0.0000 7.0044
Te Pt
8 6
direct
0.0596 0.0000 0.1797
0.2016 0.5000 0.5140
0.2984 0.0000 0.4860
0.4404 0.5000 0.8203
0.5596 0.5000 0.1797
0.7016 0.0000 0.5140
0.7984 0.5000 0.4860
0.9404 0.0000 0.8203
0.0000 0.5000 0.5000
0.0673 0.5000 0.1682
0.4327 0.0000 0.8318
0.5000 0.0000 0.5000
0.5673 0.0000 0.1682
0.9327 0.5000 0.8318
```

Largest 12 diffraction maxima, low angle first, 2θ = 10–90°:
2θ (°), intensity
13.98, 74
17.08, 100
17.95, 69
31.36, 28
33.10, 40
33.40, 60
34.55, 29
37.74, 27
38.57, 49
43.52, 35
47.73, 29
51.92, 42

---

(2)
# Te2Pt
Simulated XRD peak list, CuKα. Input: the PBE geometry in the Materials Project.

Structure:
```
Te2Pt
1.0
4.0923 0.0000 0.0000
-2.0462 3.5440 0.0000
0.0000 0.0000 5.3450
Te Pt
2 1
direct
0.3333 0.6667 0.2549
0.6667 0.3333 0.7451
0.0000 0.0000 0.0000
```

Largest 12 diffraction maxima, low angle first, 2θ = 10–90°:
2θ (°), intensity
16.59, 28
30.26, 100
42.36, 47
44.27, 40
47.59, 12
54.56, 19
57.93, 15
62.93, 15
72.79, 16
80.15, 15
81.47, 7
87.11, 12

---

(3)
# Te4Pt3
Simulated XRD peak list, CuKα. Input: the PBE geometry in the Materials Project.

Structure:
```
Te4Pt3
1.0
15.9903 0.0000 0.0000
0.0000 4.6794 0.0000
-0.9108 0.0000 7.3698
Te Pt
8 6
direct
0.1088 0.0000 0.1721
0.1575 0.5000 0.4632
0.3425 0.0000 0.5369
0.3912 0.5000 0.8279
0.6088 0.5000 0.1721
0.6575 0.0000 0.4632
0.8425 0.5000 0.5369
0.8912 0.0000 0.8279
0.0000 0.5000 0.5000
0.0402 0.5000 0.1611
0.4598 0.0000 0.8389
0.5000 0.0000 0.5000
0.5402 0.0000 0.1611
0.9598 0.5000 0.8389
```

Largest 12 diffraction maxima, low angle first, 2θ = 10–90°:
2θ (°), intensity
11.15, 100
15.37, 63
17.40, 17
19.78, 63
25.41, 18
34.13, 23
36.58, 27
38.48, 27
42.55, 18
47.53, 29
48.56, 19
54.13, 18

---

(4)
# TlTe3Pt2
Simulated XRD peak list, CuKα. Input: the PBE geometry in the Materials Project.

Structure:
```
TlTe3Pt2
1.0
8.0686 0.0000 0.0000
-4.0343 6.9876 0.0000
0.0000 0.0000 6.0607
Tl Te Pt
2 6 4
direct
0.3333 0.6667 0.3111
0.6667 0.3333 0.6889
0.1696 0.3393 0.7800
0.1696 0.8304 0.7800
0.3393 0.1696 0.2200
0.6607 0.8304 0.7800
0.8304 0.1696 0.2200
0.8304 0.6607 0.2200
0.0000 0.0000 0.0000
0.0000 0.5000 0.0000
0.5000 0.0000 0.0000
0.5000 0.5000 0.0000
```

Largest 12 diffraction maxima, low angle first, 2θ = 10–90°:
2θ (°), intensity
14.62, 33
29.51, 100
39.36, 48
44.93, 40
47.51, 10
52.31, 15
54.68, 18
61.23, 16
73.38, 15
79.04, 8
79.11, 13
88.45, 7

---

(5)
# ThPt2
Simulated XRD peak list, CuKα. Input: the PBE geometry in the Materials Project.

Structure:
```
ThPt2
1.0
4.2015 0.0000 0.0000
0.0000 4.2015 0.0000
0.0000 0.0000 14.5240
Th Pt
4 8
direct
0.0000 0.0000 0.1560
0.0000 0.0000 0.8440
0.5000 0.5000 0.3440
0.5000 0.5000 0.6560
0.0000 0.0000 0.3634
0.0000 0.0000 0.6366
0.0000 0.5000 0.0000
0.0000 0.5000 0.5000
0.5000 0.0000 0.0000
0.5000 0.0000 0.5000
0.5000 0.5000 0.1366
0.5000 0.5000 0.8634
```

Largest 12 diffraction maxima, low angle first, 2θ = 10–90°:
2θ (°), intensity
30.08, 18
32.56, 53
37.14, 23
39.18, 100
43.06, 50
58.14, 26
62.53, 17
68.27, 10
72.30, 11
72.43, 17
75.02, 12
76.32, 29

---

(6)
# Ti3Pt5
Simulated XRD peak list, CuKα. Input: the PBE geometry in the Materials Project.

Structure:
```
Ti3Pt5
1.0
-2.7469 5.5350 4.1283
2.7469 -5.5350 4.1283
2.7469 5.5350 -4.1283
Ti Pt
6 10
direct
0.1448 0.7095 0.8543
0.2500 0.2500 0.0000
0.3552 0.2095 0.5647
0.6448 0.7905 0.4353
0.7500 0.7500 0.0000
0.8552 0.2905 0.1457
0.0069 0.2500 0.7569
0.1039 0.2128 0.3167
0.2500 0.7500 0.5000
0.3961 0.7128 0.1088
0.4931 0.2500 0.2431
0.5069 0.7500 0.7569
0.6039 0.2872 0.8912
0.7500 0.2500 0.5000
0.8961 0.7872 0.6833
0.9931 0.7500 0.2431
```

Largest 12 diffraction maxima, low angle first, 2θ = 10–90°:
2θ (°), intensity
25.26, 42
28.22, 15
39.19, 98
39.40, 100
40.10, 13
43.86, 41
46.58, 55
65.90, 39
77.46, 13
77.60, 16
81.26, 15
81.67, 16